This entry pairs a crystal structure of Na7Al2Sb5 with its theoretical PXRD pattern. Radiation: λ = 1.5418 Å (Cu Kα). Structure: the PBE geometry in the Materials Project.

Most intense lines, 2θ = 15–90°, in order of falling intensity:
| index | 2θ (°) | I (rel.) |
| --- | --- | --- |
| 1 0 1 | 21.7 | 1000 |
| 2 0 -1 | 23.1 | 914 |
| 0 3 2 | 31.2 | 496 |
| 2 3 -1 | 30.1 | 443 |
| 0 6 0 | 38.5 | 300 |
| 2 3 0 | 32.6 | 275 |
| 1 6 -2 | 44.7 | 249 |
| 0 0 3 | 37.1 | 219 |
| 2 3 -3 | 39.2 | 212 |
| 1 4 0 | 28.7 | 174 |

Cell and atoms:
```
data_Na7Al2Sb5
_space_group_name_H-M_alt 'P 1 21/m 1'
_space_group_IT_number 11
_cell_length_a 7.6987
_cell_length_b 14.0146
_cell_length_c 8.2053
_cell_angle_alpha 90.00
_cell_angle_beta 117.72
_cell_angle_gamma 90.00
loop_
_space_group_symop_operation_xyz
'x,y,z'
'-x,-y,-z'
'-x,y+1/2,-z'
'x,-y+1/2,z'
loop_
_atom_site_label
_atom_site_type_symbol
_atom_site_fract_x
_atom_site_fract_y
_atom_site_fract_z
Na1 Na 0.0604 0.2500 0.2618
Na2 Na 0.2703 0.2500 0.8552
Na3 Na 0.3088 0.5773 0.8835
Na4 Na 0.3923 0.0752 0.5837
Na5 Na 0.4009 0.7500 0.5957
Al1 Al 0.0869 0.5880 0.1608
Sb1 Sb 0.0302 0.5992 0.4636
Sb2 Sb 0.2741 0.0775 0.1490
Sb3 Sb 0.3016 0.7500 0.1660
```